PmPr4Y7: theoretical X-ray diffraction stick pattern (a wavelength of 1.5418 Å), based on a structure optimized by DFT (PBE).
No peak broadening, texture or thermal motion is included.

Structural model:
```
PmPr4Y7
1.0
6.643 0.000 0.000
0.988 6.868 0.000
2.041 0.495 8.950
Pm Pr Y
1 4 7
Cartesian
0.000 0.000 0.000
2.331 4.380 2.747
4.028 1.612 6.405
5.644 5.751 2.546
7.340 2.983 6.203
0.494 3.434 0.000
2.095 0.930 3.399
4.150 5.054 5.725
3.597 1.736 0.424
6.074 5.627 8.526
5.521 2.308 3.225
7.576 6.433 5.552
```

Main lines, in order of rising 2θ (2θ = 5–70°):
d = 2.983 Å, intensity 38
d = 2.921 Å, intensity 40
d = 2.874 Å, intensity 100
d = 2.838 Å, intensity 51
d = 2.821 Å, intensity 35
d = 2.794 Å, intensity 16
d = 2.123 Å, intensity 15
d = 2.022 Å, intensity 12
d = 1.980 Å, intensity 13
d = 1.689 Å, intensity 10
d = 1.647 Å, intensity 11
d = 1.643 Å, intensity 16